Record 1
This entry pairs a crystal structure of In2Pd3S4 with its simulated powder diffraction line list. Radiation: Cu Kα, 1.54184 Å. Structure: DFT lattice parameters and positions (PBE).
Intensities are scaled so that the largest is 100.

Largest 6 diffraction maxima, by intensity, 10° ≤ 2θ ≤ 90°:
- 2θ = 32.72°, 2.737 Å, I 100
- 2θ = 15.41°, 5.748 Å, I 93
- 2θ = 36.81°, 2.442 Å, I 53
- 2θ = 36.36°, 2.471 Å, I 50
- 2θ = 32.97°, 2.716 Å, I 50
- 2θ = 39.68°, 2.271 Å, I 49

Crystal structure
```
data_In2Pd3S4
_cell_length_a 12.7157
_cell_length_b 11.9252
_cell_length_c 6.2892
_cell_angle_alpha 82.31
_cell_angle_beta 68.34
_cell_angle_gamma 29.35
_space_group_name_H-M_alt 'P 1'
_space_group_IT_number 1
_space_group_name_Hall 'P 1'
loop_
_atom_site_label
_atom_site_type_symbol
_atom_site_fract_x
_atom_site_fract_y
_atom_site_fract_z
_atom_site_occupancy
In1 In 0.0545 0.0545 0.1955 1
In2 In 0.1955 0.1955 0.0545 1
In3 In 0.8045 0.8045 0.9455 1
In4 In 0.9455 0.9455 0.8045 1
Pd1 Pd 0.1270 0.1270 0.6230 1
Pd2 Pd 0.3750 0.3750 0.3750 1
Pd3 Pd 0.3770 0.3770 0.8730 1
Pd4 Pd 0.6230 0.6230 0.1270 1
Pd5 Pd 0.6250 0.6250 0.6250 1
Pd6 Pd 0.8730 0.8730 0.3770 1
S1 S 0.1510 0.4661 0.2626 1
S2 S 0.2626 0.6203 0.1510 1
S3 S 0.3797 0.7374 0.5339 1
S4 S 0.4661 0.1510 0.6203 1
S5 S 0.5339 0.8490 0.3797 1
S6 S 0.6203 0.2626 0.4661 1
S7 S 0.7374 0.3797 0.8490 1
S8 S 0.8490 0.5339 0.7374 1
```



Record 2
This entry pairs a crystal structure of La2SmZn2Ge4Au2 with its simulated powder diffraction line list. Radiation: Cu Kα, 1.54184 Å. Structure: DFT lattice parameters and positions (PBE).
Intensities are scaled so that the largest is 100.

Largest 6 diffraction maxima, by intensity, 10° ≤ 2θ ≤ 90°:
- 2θ = 32.44°, 2.760 Å, I 100
- 2θ = 32.18°, 2.782 Å, I 46
- 2θ = 43.60°, 2.076 Å, I 31
- 2θ = 40.89°, 2.207 Å, I 30
- 2θ = 42.80°, 2.113 Å, I 26
- 2θ = 52.96°, 1.729 Å, I 22

Crystal structure
```
data_La2SmZn2Ge4Au2
_cell_length_a 13.2918
_cell_length_b 13.2918
_cell_length_c 13.2918
_cell_angle_alpha 161.71
_cell_angle_beta 160.89
_cell_angle_gamma 26.58
_space_group_name_H-M_alt 'P 1'
_space_group_IT_number 1
_space_group_name_Hall 'P 1'
loop_
_atom_site_label
_atom_site_type_symbol
_atom_site_fract_x
_atom_site_fract_y
_atom_site_fract_z
_atom_site_occupancy
La1 La 0.1471 0.1471 0.0000 1
La2 La 0.8529 0.8529 0.0000 1
Sm1 Sm 0.5000 0.0000 0.5000 1
Zn1 Zn 0.2494 0.7494 0.5000 1
Zn2 Zn 0.7506 0.2506 0.5000 1
Ge1 Ge 0.0478 0.5478 0.5000 1
Ge2 Ge 0.3063 0.3063 0.0000 1
Ge3 Ge 0.6937 0.6937 0.0000 1
Ge4 Ge 0.9522 0.4522 0.5000 1
Au1 Au 0.4054 0.4054 0.0000 1
Au2 Au 0.5946 0.5946 0.0000 1
```



Record 3
This entry pairs a crystal structure of Dy4InC2S with its simulated powder diffraction line list. Radiation: Cu Kα, 1.54184 Å. Structure: DFT lattice parameters and positions (PBE).
Intensities are scaled so that the largest is 100.

Largest 6 diffraction maxima, by intensity, 10° ≤ 2θ ≤ 90°:
- 2θ = 33.76°, 2.655 Å, I 100
- 2θ = 28.21°, 3.163 Å, I 32
- 2θ = 49.94°, 1.826 Å, I 30
- 2θ = 30.79°, 2.904 Å, I 23
- 2θ = 58.22°, 1.585 Å, I 23
- 2θ = 30.51°, 2.930 Å, I 19

Crystal structure
```
data_Dy4InC2S
_cell_length_a 3.6522
_cell_length_b 3.6522
_cell_length_c 14.6484
_cell_angle_alpha 90.00
_cell_angle_beta 90.00
_cell_angle_gamma 120.00
_space_group_name_H-M_alt 'P 1'
_space_group_IT_number 1
_space_group_name_Hall 'P 1'
loop_
_atom_site_label
_atom_site_type_symbol
_atom_site_fract_x
_atom_site_fract_y
_atom_site_fract_z
_atom_site_occupancy
Dy1 Dy 0.0000 0.0000 0.1285 1
Dy2 Dy 0.0000 0.0000 0.8715 1
Dy3 Dy 0.6667 0.3333 0.3130 1
Dy4 Dy 0.6667 0.3333 0.6870 1
In1 In 0.0000 0.0000 0.5000 1
C1 C 0.3333 0.6667 0.2225 1
C2 C 0.3333 0.6667 0.7775 1
S1 S 0.6667 0.3333 0.0000 1
```



Record 4
This entry pairs a crystal structure of Sm2Be with its simulated powder diffraction line list. Radiation: Cu Kα, 1.54184 Å. Structure: DFT lattice parameters and positions (PBE).
Intensities are scaled so that the largest is 100.

Largest 6 diffraction maxima, by intensity, 10° ≤ 2θ ≤ 90°:
- 2θ = 25.88°, 3.442 Å, I 100
- 2θ = 36.93°, 2.434 Å, I 86
- 2θ = 60.10°, 1.540 Å, I 39
- 2θ = 66.53°, 1.405 Å, I 31
- 2θ = 45.65°, 1.988 Å, I 29
- 2θ = 84.42°, 1.147 Å, I 19

Crystal structure
```
data_Sm2Be
_cell_length_a 6.8850
_cell_length_b 6.8850
_cell_length_c 6.8850
_cell_angle_alpha 90.00
_cell_angle_beta 90.00
_cell_angle_gamma 90.00
_space_group_name_H-M_alt 'P 1'
_space_group_IT_number 1
_space_group_name_Hall 'P 1'
loop_
_atom_site_label
_atom_site_type_symbol
_atom_site_fract_x
_atom_site_fract_y
_atom_site_fract_z
_atom_site_occupancy
Sm1 Sm 0.2500 0.2500 0.2500 1
Sm2 Sm 0.2500 0.2500 0.7500 1
Sm3 Sm 0.2500 0.7500 0.2500 1
Sm4 Sm 0.2500 0.7500 0.7500 1
Sm5 Sm 0.7500 0.2500 0.2500 1
Sm6 Sm 0.7500 0.2500 0.7500 1
Sm7 Sm 0.7500 0.7500 0.2500 1
Sm8 Sm 0.7500 0.7500 0.7500 1
Be1 Be 0.0000 0.0000 0.0000 1
Be2 Be 0.0000 0.5000 0.5000 1
Be3 Be 0.5000 0.0000 0.5000 1
Be4 Be 0.5000 0.5000 0.0000 1
```



Record 5
This entry pairs a crystal structure of Li4Al3Au with its simulated powder diffraction line list. Radiation: Cu Kα, 1.54184 Å. Structure: DFT lattice parameters and positions (PBE).
Intensities are scaled so that the largest is 100.

Largest 6 diffraction maxima, by intensity, 10° ≤ 2θ ≤ 90°:
- 2θ = 24.77°, 3.594 Å, I 100
- 2θ = 14.09°, 6.285 Å, I 55
- 2θ = 40.90°, 2.206 Å, I 50
- 2θ = 20.27°, 4.382 Å, I 47
- 2θ = 48.67°, 1.871 Å, I 33
- 2θ = 32.21°, 2.779 Å, I 30

Crystal structure
```
data_Li4Al3Au
_cell_length_a 4.3818
_cell_length_b 4.3818
_cell_length_c 6.2849
_cell_angle_alpha 90.00
_cell_angle_beta 90.00
_cell_angle_gamma 90.00
_space_group_name_H-M_alt 'P 1'
_space_group_IT_number 1
_space_group_name_Hall 'P 1'
loop_
_atom_site_label
_atom_site_type_symbol
_atom_site_fract_x
_atom_site_fract_y
_atom_site_fract_z
_atom_site_occupancy
Li1 Li 0.0000 0.0000 0.0000 1
Li2 Li 0.0000 0.5000 0.7442 1
Li3 Li 0.5000 0.0000 0.2558 1
Li4 Li 0.5000 0.5000 0.5000 1
Al1 Al 0.0000 0.5000 0.2599 1
Al2 Al 0.5000 0.0000 0.7401 1
Al3 Al 0.5000 0.5000 0.0000 1
Au1 Au 0.0000 0.0000 0.5000 1
```



Record 6
This entry pairs a crystal structure of Fe3Se2 with its simulated powder diffraction line list. Radiation: Cu Kα, 1.54184 Å. Structure: DFT lattice parameters and positions (PBE).
Intensities are scaled so that the largest is 100.

Largest 6 diffraction maxima, by intensity, 10° ≤ 2θ ≤ 90°:
- 2θ = 52.40°, 1.746 Å, I 100
- 2θ = 50.16°, 1.819 Å, I 79
- 2θ = 28.74°, 3.106 Å, I 64
- 2θ = 42.84°, 2.111 Å, I 57
- 2θ = 24.47°, 3.637 Å, I 55
- 2θ = 29.93°, 2.985 Å, I 52

Crystal structure
```
data_Fe3Se2
_cell_length_a 5.9710
_cell_length_b 5.9710
_cell_length_c 4.5863
_cell_angle_alpha 90.00
_cell_angle_beta 90.00
_cell_angle_gamma 90.00
_space_group_name_H-M_alt 'P 1'
_space_group_IT_number 1
_space_group_name_Hall 'P 1'
loop_
_atom_site_label
_atom_site_type_symbol
_atom_site_fract_x
_atom_site_fract_y
_atom_site_fract_z
_atom_site_occupancy
Fe1 Fe 0.0000 0.0000 0.0000 1
Fe2 Fe 0.1466 0.3534 0.2206 1
Fe3 Fe 0.3534 0.8534 0.7794 1
Fe4 Fe 0.5000 0.5000 0.0000 1
Fe5 Fe 0.6466 0.1466 0.7794 1
Fe6 Fe 0.8534 0.6466 0.2206 1
Se1 Se 0.2477 0.7477 0.2758 1
Se2 Se 0.2523 0.2477 0.7242 1
Se3 Se 0.7477 0.7523 0.7242 1
Se4 Se 0.7523 0.2523 0.2758 1
```



Record 7
This entry pairs a crystal structure of Lu3CdB2 with its simulated powder diffraction line list. Radiation: Cu Kα, 1.54184 Å. Structure: DFT lattice parameters and positions (PBE).
Intensities are scaled so that the largest is 100.

Largest 6 diffraction maxima, by intensity, 10° ≤ 2θ ≤ 90°:
- 2θ = 33.19°, 2.699 Å, I 100
- 2θ = 30.81°, 2.902 Å, I 33
- 2θ = 35.21°, 2.549 Å, I 31
- 2θ = 29.55°, 3.023 Å, I 30
- 2θ = 51.94°, 1.760 Å, I 28
- 2θ = 61.62°, 1.505 Å, I 27

Crystal structure
```
data_Lu3CdB2
_cell_length_a 3.5210
_cell_length_b 3.5210
_cell_length_c 23.2134
_cell_angle_alpha 90.00
_cell_angle_beta 90.00
_cell_angle_gamma 120.00
_space_group_name_H-M_alt 'P 1'
_space_group_IT_number 1
_space_group_name_Hall 'P 1'
loop_
_atom_site_label
_atom_site_type_symbol
_atom_site_fract_x
_atom_site_fract_y
_atom_site_fract_z
_atom_site_occupancy
Lu1 Lu 0.0000 0.0000 0.0000 1
Lu2 Lu 0.0000 0.0000 0.5000 1
Lu3 Lu 0.3333 0.6667 0.1344 1
Lu4 Lu 0.3333 0.6667 0.3656 1
Lu5 Lu 0.6667 0.3333 0.6344 1
Lu6 Lu 0.6667 0.3333 0.8656 1
Cd1 Cd 0.0000 0.0000 0.2500 1
Cd2 Cd 0.0000 0.0000 0.7500 1
B1 B 0.3333 0.6667 0.5722 1
B2 B 0.3333 0.6667 0.9278 1
B3 B 0.6667 0.3333 0.0722 1
B4 B 0.6667 0.3333 0.4278 1
```



Record 8
This entry pairs a crystal structure of Pr3Mg3CdIn2 with its simulated powder diffraction line list. Radiation: Cu Kα, 1.54184 Å. Structure: DFT lattice parameters and positions (PBE).
Intensities are scaled so that the largest is 100.

Largest 6 diffraction maxima, by intensity, 10° ≤ 2θ ≤ 90°:
- 2θ = 32.62°, 2.745 Å, I 100
- 2θ = 29.69°, 3.009 Å, I 67
- 2θ = 40.29°, 2.238 Å, I 35
- 2θ = 37.63°, 2.390 Å, I 26
- 2θ = 22.97°, 3.872 Å, I 26
- 2θ = 63.52°, 1.465 Å, I 21

Crystal structure
```
data_Pr3Mg3CdIn2
_cell_length_a 4.7805
_cell_length_b 7.7421
_cell_length_c 7.7421
_cell_angle_alpha 119.93
_cell_angle_beta 90.00
_cell_angle_gamma 90.00
_space_group_name_H-M_alt 'P 1'
_space_group_IT_number 1
_space_group_name_Hall 'P 1'
loop_
_atom_site_label
_atom_site_type_symbol
_atom_site_fract_x
_atom_site_fract_y
_atom_site_fract_z
_atom_site_occupancy
Pr1 Pr 0.0000 0.0000 0.0000 1
Pr2 Pr 0.0000 0.4219 0.8436 1
Pr3 Pr 0.0000 0.8436 0.4219 1
Mg1 Mg 0.5000 0.1821 0.4216 1
Mg2 Mg 0.5000 0.4216 0.1821 1
Mg3 Mg 0.5000 0.6609 0.6609 1
Cd1 Cd 0.0000 0.4205 0.4205 1
In1 In 0.5000 0.0881 0.7558 1
In2 In 0.5000 0.7558 0.0881 1
```



Record 9
This entry pairs a crystal structure of Na3ReO5 with its simulated powder diffraction line list. Radiation: Cu Kα, 1.54184 Å. Structure: DFT lattice parameters and positions (PBE).
Intensities are scaled so that the largest is 100.

Largest 6 diffraction maxima, by intensity, 10° ≤ 2θ ≤ 90°:
- 2θ = 19.79°, 4.485 Å, I 100
- 2θ = 32.60°, 2.747 Å, I 71
- 2θ = 22.89°, 3.885 Å, I 53
- 2θ = 38.41°, 2.344 Å, I 31
- 2θ = 58.21°, 1.585 Å, I 18
- 2θ = 46.77°, 1.942 Å, I 18

Crystal structure
```
data_Na3ReO5
_cell_length_a 5.4867
_cell_length_b 5.4867
_cell_length_c 13.4898
_cell_angle_alpha 90.00
_cell_angle_beta 90.00
_cell_angle_gamma 120.00
_space_group_name_H-M_alt 'P 1'
_space_group_IT_number 1
_space_group_name_Hall 'P 1'
loop_
_atom_site_label
_atom_site_type_symbol
_atom_site_fract_x
_atom_site_fract_y
_atom_site_fract_z
_atom_site_occupancy
Na1 Na 0.0276 0.7373 0.0000 1
Na2 Na 0.0593 0.6724 0.7478 1
Na3 Na 0.2627 0.2904 0.3333 1
Na4 Na 0.3276 0.3869 0.0811 1
Na5 Na 0.4135 0.3707 0.8321 1
Na6 Na 0.6132 0.9407 0.4145 1
Na7 Na 0.6293 0.0428 0.1655 1
Na8 Na 0.7096 0.9724 0.6667 1
Na9 Na 0.9572 0.5865 0.4988 1
Re1 Re 0.3329 0.2884 0.5831 1
Re2 Re 0.7116 0.0445 0.9165 1
Re3 Re 0.9555 0.6671 0.2498 1
O1 O 0.0105 0.4998 0.1416 1
O2 O 0.0409 0.3716 0.9168 1
O3 O 0.1653 0.0098 0.1852 1
O4 O 0.1671 0.3467 0.6913 1
O5 O 0.1796 0.8329 0.3580 1
O6 O 0.3306 0.9591 0.5835 1
O7 O 0.4894 0.9895 0.8083 1
O8 O 0.5002 0.5107 0.4749 1
O9 O 0.5041 0.1789 0.9815 1
O10 O 0.6284 0.6694 0.2501 1
O11 O 0.6533 0.8204 0.0246 1
O12 O 0.6748 0.4959 0.6482 1
O13 O 0.8211 0.3252 0.3149 1
O14 O 0.8445 0.8347 0.8519 1
O15 O 0.9902 0.1555 0.5186 1
```



Record 10
This entry pairs a crystal structure of Pr4CuAu3 with its simulated powder diffraction line list. Radiation: Cu Kα, 1.54184 Å. Structure: DFT lattice parameters and positions (PBE).
Intensities are scaled so that the largest is 100.

Largest 6 diffraction maxima, by intensity, 10° ≤ 2θ ≤ 90°:
- 2θ = 30.15°, 2.964 Å, I 100
- 2θ = 33.84°, 2.649 Å, I 84
- 2θ = 38.01°, 2.367 Å, I 77
- 2θ = 37.60°, 2.392 Å, I 76
- 2θ = 37.89°, 2.374 Å, I 66
- 2θ = 33.97°, 2.639 Å, I 64

Crystal structure
```
data_Pr4CuAu3
_cell_length_a 5.8548
_cell_length_b 4.7845
_cell_length_c 7.5504
_cell_angle_alpha 90.00
_cell_angle_beta 90.34
_cell_angle_gamma 90.00
_space_group_name_H-M_alt 'P 1'
_space_group_IT_number 1
_space_group_name_Hall 'P 1'
loop_
_atom_site_label
_atom_site_type_symbol
_atom_site_fract_x
_atom_site_fract_y
_atom_site_fract_z
_atom_site_occupancy
Pr1 Pr 0.0000 0.0000 0.0000 1
Pr2 Pr 0.2237 0.0000 0.5041 1
Pr3 Pr 0.4944 0.5000 0.8666 1
Pr4 Pr 0.7232 0.5000 0.3708 1
Cu1 Cu 0.9932 0.5000 0.7227 1
Au1 Au 0.2128 0.5000 0.2271 1
Au2 Au 0.5080 0.0000 0.1448 1
Au3 Au 0.7292 0.0000 0.6488 1
```



Record 11
This entry pairs a crystal structure of Sr2Zn3Cl2O4 with its simulated powder diffraction line list. Radiation: Cu Kα, 1.54184 Å. Structure: DFT lattice parameters and positions (PBE).
Intensities are scaled so that the largest is 100.

Largest 6 diffraction maxima, by intensity, 10° ≤ 2θ ≤ 90°:
- 2θ = 31.70°, 2.822 Å, I 100
- 2θ = 26.95°, 3.308 Å, I 96
- 2θ = 37.01°, 2.429 Å, I 80
- 2θ = 14.47°, 6.123 Å, I 69
- 2θ = 45.45°, 1.996 Å, I 63
- 2θ = 42.09°, 2.147 Å, I 59

Crystal structure
```
data_Sr2Zn3Cl2O4
_cell_length_a 7.3092
_cell_length_b 7.3092
_cell_length_c 7.3092
_cell_angle_alpha 134.57
_cell_angle_beta 134.57
_cell_angle_gamma 66.20
_space_group_name_H-M_alt 'P 1'
_space_group_IT_number 1
_space_group_name_Hall 'P 1'
loop_
_atom_site_label
_atom_site_type_symbol
_atom_site_fract_x
_atom_site_fract_y
_atom_site_fract_z
_atom_site_occupancy
Sr1 Sr 0.1385 0.1385 0.0000 1
Sr2 Sr 0.8615 0.8615 0.0000 1
Zn1 Zn 0.0000 0.5000 0.5000 1
Zn2 Zn 0.5000 0.0000 0.5000 1
Zn3 Zn 0.5000 0.5000 0.0000 1
Cl1 Cl 0.2500 0.7500 0.5000 1
Cl2 Cl 0.7500 0.2500 0.5000 1
O1 O 0.2462 0.2462 0.4924 1
O2 O 0.2462 0.7538 0.0000 1
O3 O 0.7538 0.2462 0.0000 1
O4 O 0.7538 0.7538 0.5077 1
```



Record 12
This entry pairs a crystal structure of Pm4CI5 with its simulated powder diffraction line list. Radiation: Cu Kα, 1.54184 Å. Structure: DFT lattice parameters and positions (PBE).
Intensities are scaled so that the largest is 100.

Largest 6 diffraction maxima, by intensity, 10° ≤ 2θ ≤ 90°:
- 2θ = 29.86°, 2.992 Å, I 100
- 2θ = 28.43°, 3.140 Å, I 44
- 2θ = 32.38°, 2.765 Å, I 33
- 2θ = 41.58°, 2.172 Å, I 27
- 2θ = 41.81°, 2.160 Å, I 26
- 2θ = 10.27°, 8.615 Å, I 23

Crystal structure
```
data_Pm4CI5
_cell_length_a 9.8693
_cell_length_b 9.8693
_cell_length_c 8.8331
_cell_angle_alpha 102.49
_cell_angle_beta 102.49
_cell_angle_gamma 23.79
_space_group_name_H-M_alt 'P 1'
_space_group_IT_number 1
_space_group_name_Hall 'P 1'
loop_
_atom_site_label
_atom_site_type_symbol
_atom_site_fract_x
_atom_site_fract_y
_atom_site_fract_z
_atom_site_occupancy
Pm1 Pm 0.0009 0.0009 0.3066 1
Pm2 Pm 0.3672 0.3672 0.4337 1
Pm3 Pm 0.6328 0.6328 0.5663 1
Pm4 Pm 0.9991 0.9991 0.6934 1
C1 C 0.5000 0.5000 0.5000 1
I1 I 0.1643 0.1643 0.8427 1
I2 I 0.1694 0.1694 0.3207 1
I3 I 0.5000 0.5000 0.0000 1
I4 I 0.8306 0.8306 0.6793 1
I5 I 0.8357 0.8357 0.1573 1
```